The following is a simulated XRD peak list of PaGe2O6F2. It was derived from DFT lattice parameters and positions (GGA-PBE), using copper Kα.
Intensities are scaled so that the largest is 100.

Most intense lines, 10° ≤ 2θ ≤ 90°, low angle first:
- 2θ = 14.89°, I = 16, (0 0 1)
- 2θ = 17.02°, I = 21, (1 0 0)
- 2θ = 22.69°, I = 100, (1 0 1)
- 2θ = 29.70°, I = 42, (1 1 0)
- 2θ = 34.72°, I = 28, (0 1 2)
- 2θ = 37.69°, I = 18, (0 2 1)
- 2θ = 46.33°, I = 18, (2 0 2)
- 2θ = 48.71°, I = 26, (2 1 1)
- 2θ = 55.50°, I = 12, (1 1 3)
- 2θ = 56.00°, I = 14, (1 2 2)

Atomic structure:
```
PaGe2O6F2
1.0
6.0164 0.0000 0.0000
-3.0082 5.2103 0.0000
0.0000 0.0000 5.9496
Pa Ge O F
1 2 6 2
Cartesian
0.0000 0.0000 0.0000 Pa
0.0000 3.4735 4.2332 Ge
3.0082 1.7368 1.7164 Ge
0.0000 1.8041 4.7593 O
-1.4458 4.3083 4.7593 O
1.5624 0.9020 1.1903 O
1.4458 4.3083 4.7593 O
4.4540 0.9020 1.1903 O
3.0082 3.4063 1.1903 O
0.0000 3.4735 2.4854 F
3.0082 1.7368 3.4642 F
```